Starting from a crystal structure in the Materials Project, relaxed with GGA-PBE, the powder diffraction line list of AlSiTe3 was simulated for copper Kα.
Kinematic intensities with the Lorentz-polarization factor, no thermal factor.

The 10 most intense peaks (10 to 80 degrees two-theta), in order of rising 2θ:
hkl, two_theta, intensity
0 0 1, 11.52, 11
0 0 2, 23.15, 33
1 1 0, 25.78, 10
1 1 1, 28.31, 100
1 1 2, 34.92, 25
2 -1 3, 44.00, 28
3 0 0, 45.45, 23
3 0 2, 51.61, 20
4 -2 1, 54.42, 14
4 1 1, 73.54, 10

Structural model:
```
data_AlSiTe3
_symmetry_space_group_name_H-M 'P -3 1 m'
_symmetry_Int_Tables_number 162
_symmetry_space_group_name_Hall '-P 3 2'
_cell_length_a 6.9128
_cell_length_b 6.9128
_cell_length_c 7.6841
_cell_angle_alpha 90.00
_cell_angle_beta 90.00
_cell_angle_gamma 120.00
loop_
_atom_site_label
_atom_site_type_symbol
_atom_site_fract_x
_atom_site_fract_y
_atom_site_fract_z
_atom_site_occupancy
Al1 Al 0.3333 0.6667 0.0000 1
Si1 Si 0.0000 0.0000 0.1496 1
Te1 Te 0.0000 0.3555 0.7679 1
```

Starting from a crystal structure in the Materials Project, relaxed with GGA-PBE, the powder diffraction line list of ZrCuSn was simulated for copper Kα.
Kinematic intensities with the Lorentz-polarization factor, no thermal factor.

The 10 most intense peaks (10 to 80 degrees two-theta), in order of rising 2θ:
hkl, two_theta, intensity
1 1 1, 26.72, 14
1 1 2, 33.41, 18
2 0 2, 35.53, 44
2 1 1, 35.71, 100
0 1 3, 40.14, 82
0 2 0, 40.62, 44
2 0 4, 54.53, 14
2 2 2, 55.05, 24
4 1 3, 70.68, 29
0 3 3, 73.59, 13

Structural model:
```
data_ZrCuSn
_symmetry_space_group_name_H-M 'P n m a'
_symmetry_Int_Tables_number 62
_cell_length_a 6.6269
_cell_length_b 4.4416
_cell_length_c 7.8127
_cell_angle_alpha 90.00
_cell_angle_beta 90.00
_cell_angle_gamma 90.00
loop_
_symmetry_equiv_pos_as_xyz
'x,y,z'
'-x,-y,-z'
'-x+1/2,-y,z+1/2'
'x+1/2,y,-z+1/2'
'x+1/2,-y+1/2,-z+1/2'
'-x+1/2,y+1/2,z+1/2'
'-x,y+1/2,-z'
'x,-y+1/2,z'
loop_
_atom_site_label
_atom_site_type_symbol
_atom_site_fract_x
_atom_site_fract_y
_atom_site_fract_z
_atom_site_occupancy
Zr1 Zr 0.0006 0.2500 0.2205 1
Cu1 Cu 0.1972 0.2500 0.5845 1
Sn1 Sn 0.2260 0.7500 0.4131 1
```

Starting from a crystal structure in the Materials Project, relaxed with GGA-PBE, the powder diffraction line list of Th3Al2 was simulated for copper Kα.
Kinematic intensities with the Lorentz-polarization factor, no thermal factor.

The 10 most intense peaks (10 to 80 degrees two-theta), in order of rising 2θ:
hkl, two_theta, intensity
2 1 0, 24.56, 56
1 1 1, 26.12, 48
2 0 1, 30.50, 100
2 2 0, 31.22, 28
2 1 1, 32.48, 88
3 1 0, 35.02, 57
4 0 1, 49.82, 27
4 1 1, 51.22, 28
3 3 1, 52.54, 38
3 1 2, 56.28, 30

Structural model:
```
data_Th3Al2
_symmetry_space_group_name_H-M 'P 4/m b m'
_symmetry_Int_Tables_number 127
_symmetry_space_group_name_Hall '-P 4 2ab'
_cell_length_a 8.1034
_cell_length_b 8.1034
_cell_length_c 4.2451
_cell_angle_alpha 90.00
_cell_angle_beta 90.00
_cell_angle_gamma 90.00
loop_
_atom_site_label
_atom_site_type_symbol
_atom_site_fract_x
_atom_site_fract_y
_atom_site_fract_z
_atom_site_occupancy
Th1 Th 0.0000 0.0000 0.0000 1
Th2 Th 0.1759 0.3241 0.5000 1
Al1 Al 0.1179 0.6179 0.0000 1
```

Starting from a crystal structure in the Materials Project, relaxed with GGA-PBE, the powder diffraction line list of MgSnAu was simulated for copper Kα.
Kinematic intensities with the Lorentz-polarization factor, no thermal factor.

The 10 most intense peaks (10 to 80 degrees two-theta), in order of rising 2θ:
hkl, two_theta, intensity
1 1 1, 23.62, 97
2 0 0, 27.35, 3
2 2 0, 39.06, 100
3 1 1, 46.16, 51
2 2 2, 48.34, 1
4 0 0, 56.43, 17
3 3 1, 62.02, 22
4 2 0, 63.82, 1
4 2 2, 70.76, 36
5 1 1, 75.78, 16

Structural model:
```
data_MgSnAu
_symmetry_space_group_name_H-M 'F -4 3 m'
_symmetry_Int_Tables_number 216
_symmetry_space_group_name_Hall 'F -4 2 3'
_cell_length_a 6.5228
_cell_length_b 6.5228
_cell_length_c 6.5228
_cell_angle_alpha 90.00
_cell_angle_beta 90.00
_cell_angle_gamma 90.00
loop_
_atom_site_label
_atom_site_type_symbol
_atom_site_fract_x
_atom_site_fract_y
_atom_site_fract_z
_atom_site_occupancy
Mg1 Mg 0.0000 0.0000 0.0000 1
Sn1 Sn 0.0000 0.0000 0.5000 1
Au1 Au 0.2500 0.2500 0.2500 1
```

Starting from a crystal structure in the Materials Project, relaxed with GGA-PBE, the powder diffraction line list of NpSb3 was simulated for copper Kα.
Kinematic intensities with the Lorentz-polarization factor, no thermal factor.

The 10 most intense peaks (10 to 80 degrees two-theta), in order of rising 2θ:
hkl, two_theta, intensity
1 0 0, 15.83, 7
1 0 1, 22.00, 9
0 0 2, 30.65, 33
2 0 0, 31.97, 22
2 0 1, 35.57, 100
2 0 2, 44.87, 17
2 2 0, 56.97, 17
2 0 3, 57.72, 25
2 2 2, 66.08, 22
4 0 1, 68.99, 14

Structural model:
```
data_NpSb3
_symmetry_space_group_name_H-M 'P 63/m m c'
_symmetry_Int_Tables_number 194
_symmetry_space_group_name_Hall '-P 6c 2c'
_cell_length_a 6.4656
_cell_length_b 6.4656
_cell_length_c 5.8342
_cell_angle_alpha 90.00
_cell_angle_beta 90.00
_cell_angle_gamma 120.00
loop_
_atom_site_label
_atom_site_type_symbol
_atom_site_fract_x
_atom_site_fract_y
_atom_site_fract_z
_atom_site_occupancy
Np1 Np 0.3333 0.6667 0.2500 1
Sb1 Sb 0.1730 0.3459 0.7500 1
```

Starting from a crystal structure in the Materials Project, relaxed with GGA-PBE, the powder diffraction line list of SmAl8Co2 was simulated for copper Kα.
Kinematic intensities with the Lorentz-polarization factor, no thermal factor.

The 10 most intense peaks (10 to 80 degrees two-theta), in order of rising 2θ:
hkl, two_theta, intensity
3 1 0, 22.06, 41
0 0 1, 22.37, 43
1 4 0, 25.99, 28
3 3 0, 28.35, 31
1 4 1, 34.55, 74
3 3 1, 36.41, 100
4 1 1, 36.95, 37
5 4 0, 44.00, 31
0 0 2, 45.65, 41
2 7 0, 46.89, 33

Structural model:
```
data_SmAl8Co2
_symmetry_space_group_name_H-M 'P b a m'
_symmetry_Int_Tables_number 55
_cell_length_a 12.6050
_cell_length_b 14.2490
_cell_length_c 3.9746
_cell_angle_alpha 90.00
_cell_angle_beta 90.00
_cell_angle_gamma 90.00
loop_
_symmetry_equiv_pos_as_xyz
'x,y,z'
'-x,-y,-z'
'-x,-y,z'
'x,y,-z'
'x+1/2,-y+1/2,-z'
'-x+1/2,y+1/2,z'
'-x+1/2,y+1/2,-z'
'x+1/2,-y+1/2,z'
loop_
_atom_site_label
_atom_site_type_symbol
_atom_site_fract_x
_atom_site_fract_y
_atom_site_fract_z
_atom_site_occupancy
Sm1 Sm 0.1621 0.1801 0.0000 1
Al1 Al 0.0000 0.0000 0.0000 1
Al2 Al 0.0000 0.5000 0.5000 1
Al3 Al 0.0254 0.8692 0.5000 1
Al4 Al 0.0475 0.3201 0.5000 1
Al5 Al 0.0951 0.7489 0.0000 1
Al6 Al 0.1584 0.6216 0.5000 1
Al7 Al 0.1598 0.4572 0.0000 1
Al8 Al 0.1680 0.0108 0.5000 1
Al9 Al 0.2344 0.8296 0.5000 1
Co1 Co 0.0355 0.5941 0.0000 1
Co2 Co 0.1537 0.9064 0.0000 1
```